The following is a computed PXRD pattern of Li2CrFeO4. It was derived from the PBE+U geometry in Alexandria, using Cu Kα X-rays.

Cell and atoms:
a = 5.179 Å, b = 5.928 Å, c = 7.838 Å
α = 100.77°, β = 96.24°, γ = 106.68°
Atoms (fractional coordinates):
Li  0.000  0.083  0.333
Li  0.000  0.917  0.667
Li  0.001  0.251  0.998
Li  0.001  0.583  0.335
Li  0.999  0.417  0.665
Li  0.999  0.749  0.002
Cr  0.500  0.333  0.832
Cr  0.500  0.500  0.500
Cr  0.500  0.667  0.168
Fe  0.500  0.000  0.500
Fe  0.500  0.168  0.166
Fe  0.500  0.832  0.834
O  0.271  0.049  0.917
O  0.271  0.879  0.252
O  0.272  0.217  0.586
O  0.272  0.383  0.254
O  0.272  0.712  0.585
O  0.275  0.546  0.921
O  0.725  0.454  0.079
O  0.728  0.288  0.415
O  0.728  0.617  0.746
O  0.728  0.783  0.414
O  0.729  0.121  0.748
O  0.729  0.951  0.083

The 10 most intense peaks (2θ from 10° to 90°), low angle first:
Position (°2θ), Rel. int., (hkl)
18.2, 100, 1 0 0
35.5, 42, 0 2 -2
37.1, 12, 1 -2 2
43.0, 81, 1 0 3
47.1, 14, 1 2 1
56.7, 14, 2 0 3
62.3, 22, 2 2 1
62.7, 15, 1 -4 1
62.8, 7, 0 2 -5
65.8, 9, 2 -4 1